Structure and calculated powder XRD pattern of Ca2Cd2Sb3 (a cell relaxed with GGA-PBE; Cu Kα, 1.54184 Å).
Peak positions follow from Bragg's law for the DFT cell and can differ from measured ones.

Structure:
```
Ca2Cd2Sb3
1.0
8.487 -2.351 0.000
8.487 2.351 0.000
-7.508 0.000 10.277
Ca Cd Sb
4 4 6
Direct
0.099 0.099 0.446
0.236 0.236 0.826
0.764 0.764 0.174
0.901 0.901 0.554
0.088 0.088 0.162
0.449 0.449 0.187
0.551 0.551 0.813
0.912 0.912 0.838
0.134 0.134 0.977
0.335 0.335 0.670
0.404 0.404 0.377
0.596 0.596 0.623
0.665 0.665 0.330
0.866 0.866 0.023
```

The 12 most intense peaks (10 to 90 degrees two-theta), by angle:
Position (°2θ), I_rel
20.18, 29
21.07, 25
23.26, 22
23.82, 29
26.00, 29
31.77, 30
31.99, 100
33.79, 24
34.03, 69
38.28, 58
40.77, 40
43.07, 25

***

Structure and calculated powder XRD pattern of PaCo3H6 (a cell relaxed with GGA-PBE; Cu Kα, 1.54184 Å).
Peak positions follow from Bragg's law for the DFT cell and can differ from measured ones.

Structure:
```
PaCo3H6
1.0
2.267 1.309 4.418
-2.267 1.309 4.418
0.000 -2.618 4.418
Pa Co H
1 3 6
Direct
0.000 0.000 0.000
0.211 0.211 0.211
0.553 0.553 0.553
0.823 0.823 0.823
0.180 0.453 0.789
0.453 0.789 0.180
0.454 0.969 0.463
0.463 0.454 0.969
0.789 0.180 0.453
0.969 0.463 0.454
```

The 12 most intense peaks (10 to 90 degrees two-theta), by angle:
Position (°2θ), I_rel
23.63, 98
26.38, 57
35.45, 59
39.76, 100
41.08, 62
46.77, 18
54.31, 18
58.32, 28
58.50, 22
69.38, 17
72.17, 17
73.07, 22

***

Structure and calculated powder XRD pattern of La7Sm4Ho (a cell relaxed with GGA-PBE; Cu Kα, 1.54184 Å).
Peak positions follow from Bragg's law for the DFT cell and can differ from measured ones.

Structure:
```
La7Sm4Ho
1.0
6.446 0.000 0.000
-0.001 7.421 0.000
-2.146 -0.022 8.921
La Sm Ho
7 4 1
Direct
0.000 0.000 0.000
0.221 0.499 0.667
0.279 0.751 0.332
0.500 0.252 0.001
0.500 0.748 0.999
0.721 0.249 0.668
0.779 0.501 0.333
0.224 0.000 0.667
0.276 0.249 0.329
0.724 0.751 0.671
0.776 0.000 0.333
0.000 0.500 0.000
```

The 12 most intense peaks (10 to 90 degrees two-theta), by angle:
Position (°2θ), I_rel
27.92, 36
28.53, 15
30.05, 49
30.83, 100
32.44, 56
32.52, 28
38.80, 11
48.99, 25
49.11, 13
52.76, 15
55.91, 12
58.56, 37

***

Structure and calculated powder XRD pattern of CrGaPt6 (a cell relaxed with GGA-PBE; Cu Kα, 1.54184 Å).
Peak positions follow from Bragg's law for the DFT cell and can differ from measured ones.

Structure:
```
CrGaPt6
1.0
3.927 0.000 0.000
0.000 3.927 0.000
0.000 0.000 7.877
Cr Ga Pt
1 1 6
Direct
0.000 0.000 0.000
0.000 0.000 0.500
0.000 0.500 0.246
0.000 0.500 0.754
0.500 0.000 0.246
0.500 0.000 0.754
0.500 0.500 0.000
0.500 0.500 0.500
```

The 12 most intense peaks (10 to 90 degrees two-theta), by angle:
Position (°2θ), I_rel
22.62, 12
32.20, 10
39.72, 100
46.09, 16
46.23, 33
51.99, 4
57.42, 4
67.34, 21
67.45, 11
81.01, 13
81.22, 26
85.59, 11